Entry 1:
This entry pairs a crystal structure of CeMgCd2 with its calculated powder diffractogram. Radiation: Cu Kα (weighted mean of Kα1 and Kα2). Structure: a PBE-relaxed structure.
Intensities are scaled so that the largest is 100.

Cell and atoms:
```
data_CeMgCd2
_symmetry_space_group_name_H-M 'F m -3 m'
_symmetry_Int_Tables_number 225
_symmetry_space_group_name_Hall '-F 4 2 3'
_cell_length_a 7.3242
_cell_length_b 7.3242
_cell_length_c 7.3242
_cell_angle_alpha 90.00
_cell_angle_beta 90.00
_cell_angle_gamma 90.00
loop_
_atom_site_label
_atom_site_fract_x
_atom_site_fract_y
_atom_site_fract_z
Ce1 0.0000 0.0000 0.0000
Mg1 0.0000 0.0000 0.5000
Cd1 0.2500 0.2500 0.2500
```

Most intense lines, 2θ from 5° to 70°, in order of rising 2θ:
21.01 deg, 4.229 Å, I 19, (1 1 1); 24.30 deg, 3.662 Å, I 3, (2 0 0); 34.64 deg, 2.589 Å, I 100, (2 2 0); 40.86 deg, 2.208 Å, I 10, (3 1 1); 42.77 deg, 2.114 Å, I 1, (2 2 2); 49.80 deg, 1.831 Å, I 17, (4 0 0); 54.62 deg, 1.680 Å, I 5, (3 3 1); 56.16 deg, 1.638 Å, I 1, (4 2 0); 62.08 deg, 1.495 Å, I 35, (4 2 2); 66.31 deg, 1.410 Å, I 3, (5 1 1)

***

Entry 2:
This entry pairs a crystal structure of ZrV2 with its calculated powder diffractogram. Radiation: Cu Kα (weighted mean of Kα1 and Kα2). Structure: a PBE-relaxed structure.
Intensities are scaled so that the largest is 100.

Cell and atoms:
Cell: 7.3603 7.3603 7.3603 Å, 90.00 90.00 90.00°
Space group Fd-3m (No. 227, origin choice 2)
Unique sites:
1 Zr 0.1250 0.1250 0.1250 (multiplicity 8)
2 V 0.0000 0.0000 0.5000 (multiplicity 16)

Most intense lines, 2θ from 5° to 70°, in order of rising 2θ:
20.90 deg, 4.249 Å, I 3, (1 1 1); 34.46 deg, 2.602 Å, I 52, (2 2 0); 40.65 deg, 2.219 Å, I 100, (3 1 1); 42.55 deg, 2.125 Å, I 21, (2 2 2); 54.33 deg, 1.689 Å, I 1, (3 3 1); 61.74 deg, 1.502 Å, I 18, (4 2 2); 65.95 deg, 1.416 Å, I 29, (5 1 1)

***

Entry 3:
This entry pairs a crystal structure of ZnCuF4 with its calculated powder diffractogram. Radiation: Cu Kα (weighted mean of Kα1 and Kα2). Structure: a PBE-relaxed structure.
Intensities are scaled so that the largest is 100.

Cell and atoms:
```
data_ZnCuF4
_symmetry_space_group_name_H-M 'P 1'
_symmetry_Int_Tables_number 1
_cell_length_a 5.1450
_cell_length_b 5.1828
_cell_length_c 6.2207
_cell_angle_alpha 65.62
_cell_angle_beta 65.59
_cell_angle_gamma 89.98
loop_
_symmetry_equiv_pos_as_xyz
'x,y,z'
loop_
_atom_site_label
_atom_site_fract_x
_atom_site_fract_y
_atom_site_fract_z
Zn1 0.0000 0.0000 0.0000
Zn2 0.4969 0.5016 0.0011
Cu1 0.2454 0.7461 0.4990
Cu2 0.7486 0.2449 0.5009
F1 0.0719 0.5620 0.2342
F2 0.1885 0.0636 0.2320
F3 0.3043 0.4309 0.7662
F4 0.4265 0.9276 0.7728
F5 0.5718 0.6988 0.2294
F6 0.6900 0.1947 0.2341
F7 0.8019 0.2989 0.7693
F8 0.9290 0.8011 0.7684
```

Most intense lines, 2θ from 5° to 70°, in order of rising 2θ:
30.15 deg, 2.964 Å, I 100, (1 1 0); 30.26 deg, 2.954 Å, I 98, (-1 1 1); 49.96 deg, 1.826 Å, I 37, (2 -2 0); 50.33 deg, 1.813 Å, I 21, (0 2 -1); 50.64 deg, 1.803 Å, I 62, (2 0 -1); 59.23 deg, 1.560 Å, I 14, (1 -3 0); 59.41 deg, 1.556 Å, I 14, (1 3 3); 59.67 deg, 1.550 Å, I 28, (3 1 3); 60.48 deg, 1.531 Å, I 13, (1 -1 3); 60.66 deg, 1.527 Å, I 13, (1 1 4)

***

Entry 4:
This entry pairs a crystal structure of K3Er4Cu5Te10 with its calculated powder diffractogram. Radiation: Cu Kα (weighted mean of Kα1 and Kα2). Structure: a PBE-relaxed structure.
Intensities are scaled so that the largest is 100.

Cell and atoms:
```
data_K3Er4Cu5Te10
_symmetry_space_group_name_H-M 'P m n 21'
_symmetry_Int_Tables_number 31
_cell_length_a 4.3288
_cell_length_b 16.5507
_cell_length_c 17.6684
_cell_angle_alpha 90.00
_cell_angle_beta 90.00
_cell_angle_gamma 90.00
loop_
_symmetry_equiv_pos_as_xyz
'x,y,z'
'-x+1/2,-y,z+1/2'
'-x,y,z'
'x+1/2,-y,z+1/2'
loop_
_atom_site_label
_atom_site_fract_x
_atom_site_fract_y
_atom_site_fract_z
K1 0.0000 0.0788 0.0000
K2 0.0000 0.2504 0.8368
K3 0.0000 0.4200 0.6738
Er1 0.0000 0.1852 0.5519
Er2 0.0000 0.3177 0.1239
Er3 0.0000 0.5409 0.8924
Er4 0.0000 0.9638 0.7856
Cu1 0.0000 0.1876 0.3805
Cu2 0.0000 0.3147 0.2970
Cu3 0.0000 0.5895 0.4924
Cu4 0.0000 0.8436 0.6470
Cu5 0.0000 0.9081 0.1834
Te1 0.0000 0.0180 0.6241
Te2 0.0000 0.1655 0.2322
Te3 0.0000 0.3367 0.4433
Te4 0.0000 0.4783 0.0517
Te5 0.0000 0.5776 0.3440
Te6 0.0000 0.6193 0.7352
Te7 0.0000 0.7517 0.1524
Te8 0.0000 0.7539 0.5236
Te9 0.0000 0.8810 0.9387
Te10 0.0000 0.9227 0.3328
```

Most intense lines, 2θ from 5° to 70°, in order of rising 2θ:
7.32 deg, 12.079 Å, I 100, (0 1 1); 14.67 deg, 6.039 Å, I 39, (0 2 2); 23.74 deg, 3.748 Å, I 56, (1 2 1); 26.14 deg, 3.409 Å, I 48, (1 3 0); 28.08 deg, 3.178 Å, I 67, (1 3 2); 30.32 deg, 2.948 Å, I 44, (1 3 3); 33.17 deg, 2.701 Å, I 46, (1 1 5); 34.50 deg, 2.600 Å, I 94, (0 3 6); 41.74 deg, 2.164 Å, I 77, (2 0 0); 42.89 deg, 2.109 Å, I 45, (1 2 7)

***

Entry 5:
This entry pairs a crystal structure of Te2Ir with its calculated powder diffractogram. Radiation: Cu Kα (weighted mean of Kα1 and Kα2). Structure: a PBE-relaxed structure.
Intensities are scaled so that the largest is 100.

Cell and atoms:
```
data_Te2Ir
_symmetry_space_group_name_H-M 'P -3 m 1'
_symmetry_Int_Tables_number 164
_symmetry_space_group_name_Hall '-P 3 2"'
_cell_length_a 3.9878
_cell_length_b 3.9878
_cell_length_c 5.5433
_cell_angle_alpha 90.00
_cell_angle_beta 90.00
_cell_angle_gamma 120.00
loop_
_atom_site_label
_atom_site_fract_x
_atom_site_fract_y
_atom_site_fract_z
Te1 0.3333 0.6667 0.2465
Ir1 0.0000 0.0000 0.0000
```

Most intense lines, 2θ from 5° to 70°, in order of rising 2θ:
15.99 deg, 5.543 Å, I 36, (0 0 1); 25.80 deg, 3.454 Å, I 4, (1 0 0); 30.50 deg, 2.931 Å, I 100, (0 1 1); 41.79 deg, 2.162 Å, I 52, (0 1 2); 45.49 deg, 1.994 Å, I 39, (1 1 0); 48.52 deg, 1.876 Å, I 13, (1 1 1); 55.76 deg, 1.649 Å, I 18, (2 0 1); 56.48 deg, 1.629 Å, I 18, (1 0 3); 63.47 deg, 1.466 Å, I 15, (2 0 2); 67.60 deg, 1.386 Å, I 4, (0 0 4)

***

Entry 6:
This entry pairs a crystal structure of DyCd with its calculated powder diffractogram. Radiation: Cu Kα (weighted mean of Kα1 and Kα2). Structure: a PBE-relaxed structure.
Intensities are scaled so that the largest is 100.

Cell and atoms:
```
data_DyCd
_symmetry_space_group_name_H-M 'P m -3 m'
_symmetry_Int_Tables_number 221
_symmetry_space_group_name_Hall '-P 4 2 3'
_cell_length_a 3.7512
_cell_length_b 3.7512
_cell_length_c 3.7512
_cell_angle_alpha 90.00
_cell_angle_beta 90.00
_cell_angle_gamma 90.00
loop_
_atom_site_label
_atom_site_fract_x
_atom_site_fract_y
_atom_site_fract_z
Dy1 0.0000 0.0000 0.0000
Cd1 0.5000 0.5000 0.5000
```

Most intense lines, 2θ from 5° to 70°, in order of rising 2θ:
23.72 deg, 3.751 Å, I 3, (1 0 0); 33.79 deg, 2.652 Å, I 100, (1 1 0); 41.70 deg, 2.166 Å, I 1, (1 1 1); 48.54 deg, 1.876 Å, I 18, (2 0 0); 54.72 deg, 1.678 Å, I 2, (2 1 0); 60.45 deg, 1.531 Å, I 37, (2 1 1)